# Pr2Cu2NiO6
Calculated X-ray diffraction stick pattern, Cu Kα (λ = 1.5418 Å). Input: DFT lattice parameters and positions (PBE+U).

Peak list (6 most intense, 2θ from 5° to 70°, in order of rising 2θ)
2θ (°)	I (rel.)	(hkl)
31.2	100.0	1 1 0
34.3	67.3	0 1 5
47.0	32.8	2 0 5
55.5	18.8	3 0 0
57.5	35.1	1 2 5
63.3	18.8	1 0 10

Structural model:
```
data_Pr2Cu2NiO6
_chemical_formula_sum 'Pr6 Cu6 Ni3 O18'
_cell_length_a 5.7387
_cell_length_b 5.7387
_cell_length_c 15.3955
_cell_angle_alpha 90.00
_cell_angle_beta 90.00
_cell_angle_gamma 120.00
_symmetry_space_group_name_H-M 'R -3 m'
_symmetry_Int_Tables_number 166
_symmetry_space_group_name_Hall '-R 3 2"'
loop_
_atom_site_label
_atom_site_fract_x
_atom_site_fract_y
_atom_site_fract_z
Pr1 0.0000 0.0000 0.2123
Cu1 0.0000 0.0000 0.4166
Ni1 0.0000 0.0000 0.0000
O1 0.0365 0.5183 0.7571
```